# 1
Starting from DFT lattice parameters and positions (PBE), the X-ray diffraction stick pattern of Cd8GaHg4 was computed for a wavelength of 1.5418 Å.
Peak positions follow from Bragg's law for the DFT cell and can differ from measured ones.

a = 6.978 Å, b = 6.978 Å, c = 6.715 Å
α = 90.11°, β = 90.11°, γ = 88.40°
Atoms (fractional coordinates):
Cd: 0.242 0.758 0.248
Cd: 0.242 0.758 0.752
Cd: 0.243 0.243 0.240
Cd: 0.243 0.243 0.760
Cd: 0.757 0.757 0.240
Cd: 0.757 0.757 0.760
Cd: 0.758 0.242 0.248
Cd: 0.758 0.242 0.752
Ga: 0.500 0.500 0.500
Hg: 0.000 0.000 0.000
Hg: 0.000 0.500 0.500
Hg: 0.500 0.000 0.500
Hg: 0.500 0.500 0.000

The 10 most intense peaks (2θ from 5° to 70°), by angle:
| 2θ (°) | I/Imax |
| --- | --- |
| 22.2 | 28 |
| 22.6 | 31 |
| 35.9 | 28 |
| 37.0 | 25 |
| 37.2 | 100 |
| 42.8 | 12 |
| 43.5 | 10 |
| 52.5 | 18 |
| 65.3 | 9 |
| 66.7 | 17 |

# 2
Starting from DFT lattice parameters and positions (PBE), the X-ray diffraction stick pattern of Cd4GaHg4 was computed for a wavelength of 1.5418 Å.
Peak positions follow from Bragg's law for the DFT cell and can differ from measured ones.

a = 7.165 Å, b = 7.165 Å, c = 10.239 Å
α = 107.59°, β = 107.59°, γ = 26.72°
Atoms (fractional coordinates):
Cd: 0.109 0.109 0.269
Cd: 0.290 0.290 0.898
Cd: 0.710 0.710 0.102
Cd: 0.891 0.891 0.731
Ga: 0.500 0.500 0.500
Hg: 0.185 0.185 0.586
Hg: 0.419 0.419 0.188
Hg: 0.581 0.581 0.812
Hg: 0.815 0.815 0.414

The 10 most intense peaks (2θ from 5° to 70°), by angle:
| 2θ (°) | I/Imax |
| --- | --- |
| 27.5 | 16 |
| 33.4 | 100 |
| 35.1 | 38 |
| 37.3 | 35 |
| 39.2 | 24 |
| 41.0 | 57 |
| 55.5 | 18 |
| 56.5 | 14 |
| 59.5 | 14 |
| 67.4 | 17 |

# 3
Starting from DFT lattice parameters and positions (PBE), the X-ray diffraction stick pattern of Cd7GaHg2 was computed for a wavelength of 1.5418 Å.
Peak positions follow from Bragg's law for the DFT cell and can differ from measured ones.

a = 8.689 Å, b = 8.689 Å, c = 10.361 Å
α = 125.98°, β = 125.98°, γ = 53.26°
Atoms (fractional coordinates):
Cd: 0.028 0.336 0.059
Cd: 0.061 0.939 0.750
Cd: 0.221 0.299 0.404
Cd: 0.259 0.502 0.772
Cd: 0.299 0.221 0.904
Cd: 0.336 0.028 0.559
Cd: 0.498 0.741 0.728
Cd: 0.502 0.259 0.272
Cd: 0.664 0.972 0.441
Cd: 0.701 0.779 0.096
Cd: 0.741 0.498 0.228
Cd: 0.779 0.701 0.596
Cd: 0.939 0.061 0.250
Cd: 0.972 0.664 0.941
Ga: 0.358 0.642 0.250
Ga: 0.642 0.358 0.750
Hg: 0.116 0.710 0.409
Hg: 0.290 0.884 0.091
Hg: 0.710 0.116 0.909
Hg: 0.884 0.290 0.591

The 10 most intense peaks (2θ from 5° to 70°), by angle:
| 2θ (°) | I/Imax |
| --- | --- |
| 28.7 | 31 |
| 32.0 | 21 |
| 32.4 | 43 |
| 33.7 | 100 |
| 35.0 | 34 |
| 35.5 | 42 |
| 38.2 | 26 |
| 38.9 | 20 |
| 39.5 | 44 |
| 47.8 | 17 |

# 4
Starting from DFT lattice parameters and positions (PBE), the X-ray diffraction stick pattern of Cd4GaHg was computed for a wavelength of 1.5418 Å.
Peak positions follow from Bragg's law for the DFT cell and can differ from measured ones.

a = 9.430 Å, b = 3.519 Å, c = 8.798 Å
α = 90.00°, β = 110.84°, γ = 90.00°
Atoms (fractional coordinates):
Cd: 0.166 0.000 0.326
Cd: 0.166 0.000 0.841
Cd: 0.334 0.500 0.159
Cd: 0.334 0.500 0.674
Cd: 0.666 0.500 0.326
Cd: 0.666 0.500 0.841
Cd: 0.834 0.000 0.159
Cd: 0.834 0.000 0.674
Ga: 0.000 0.500 0.000
Ga: 0.500 0.000 0.000
Hg: 0.000 0.500 0.500
Hg: 0.500 0.000 0.500

The 10 most intense peaks (2θ from 5° to 70°), by angle:
| 2θ (°) | I/Imax |
| --- | --- |
| 32.7 | 100 |
| 34.7 | 42 |
| 38.9 | 31 |
| 40.0 | 58 |
| 41.3 | 25 |
| 52.0 | 13 |
| 55.9 | 21 |
| 61.7 | 15 |
| 64.0 | 14 |
| 68.5 | 16 |

# 5
Starting from DFT lattice parameters and positions (PBE), the X-ray diffraction stick pattern of Cd4GaHg12 was computed for a wavelength of 1.5418 Å.
Peak positions follow from Bragg's law for the DFT cell and can differ from measured ones.

a = 7.634 Å, b = 7.708 Å, c = 7.828 Å
α = 81.54°, β = 84.67°, γ = 85.10°
Atoms (fractional coordinates):
Cd: 0.000 0.000 0.000
Cd: 0.025 0.562 0.488
Cd: 0.508 0.967 0.497
Cd: 0.536 0.547 0.027
Ga: 0.639 0.596 0.605
Hg: 0.057 0.192 0.303
Hg: 0.106 0.582 0.092
Hg: 0.128 0.891 0.630
Hg: 0.299 0.505 0.750
Hg: 0.319 0.853 0.218
Hg: 0.371 0.104 0.845
Hg: 0.395 0.375 0.386
Hg: 0.631 0.156 0.124
Hg: 0.744 0.733 0.248
Hg: 0.746 0.842 0.811
Hg: 0.748 0.226 0.580
Hg: 0.901 0.389 0.867

The 10 most intense peaks (2θ from 5° to 70°), by angle:
| 2θ (°) | I/Imax |
| --- | --- |
| 27.0 | 42 |
| 29.5 | 43 |
| 30.3 | 96 |
| 32.1 | 50 |
| 34.5 | 91 |
| 34.6 | 42 |
| 36.0 | 94 |
| 36.5 | 39 |
| 37.1 | 100 |
| 39.7 | 100 |

# 6
Starting from DFT lattice parameters and positions (PBE), the X-ray diffraction stick pattern of CdIn2GaHg was computed for a wavelength of 1.5418 Å.
Peak positions follow from Bragg's law for the DFT cell and can differ from measured ones.

a = 4.274 Å, b = 4.274 Å, c = 14.114 Å
α = 90.00°, β = 90.00°, γ = 90.00°
Atoms (fractional coordinates):
Cd: 0.250 0.250 0.198
Cd: 0.750 0.750 0.802
In: 0.250 0.250 0.413
In: 0.250 0.250 0.821
In: 0.750 0.750 0.179
In: 0.750 0.750 0.587
Ga: 0.250 0.250 0.616
Ga: 0.750 0.750 0.384
Hg: 0.250 0.750 0.000
Hg: 0.750 0.250 0.000

The 10 most intense peaks (2θ from 5° to 70°), by angle:
| 2θ (°) | I/Imax |
| --- | --- |
| 6.3 | 100 |
| 29.6 | 20 |
| 30.2 | 54 |
| 31.7 | 56 |
| 32.2 | 59 |
| 35.3 | 64 |
| 39.3 | 42 |
| 42.3 | 58 |
| 53.8 | 49 |
| 61.4 | 19 |

# 7
Starting from DFT lattice parameters and positions (PBE), the X-ray diffraction stick pattern of Cd4In2GaHg was computed for a wavelength of 1.5418 Å.
Peak positions follow from Bragg's law for the DFT cell and can differ from measured ones.

a = 8.619 Å, b = 8.619 Å, c = 8.619 Å
α = 136.82°, β = 104.26°, γ = 91.40°
Atoms (fractional coordinates):
Cd: 0.242 0.238 0.004
Cd: 0.252 0.242 0.491
Cd: 0.252 0.761 0.009
Cd: 0.267 0.762 0.504
Cd: 0.733 0.238 0.496
Cd: 0.748 0.239 0.991
Cd: 0.748 0.758 0.509
Cd: 0.758 0.762 0.996
In: 0.000 0.000 0.500
In: 0.000 0.500 0.000
In: 0.000 0.500 0.500
In: 0.500 0.500 0.000
Ga: 0.000 0.000 0.000
Ga: 0.500 0.000 0.500
Hg: 0.500 0.000 0.000
Hg: 0.500 0.500 0.500

The 10 most intense peaks (2θ from 5° to 70°), by angle:
| 2θ (°) | I/Imax |
| --- | --- |
| 29.7 | 64 |
| 32.9 | 100 |
| 33.9 | 47 |
| 44.9 | 81 |
| 45.7 | 39 |
| 58.2 | 11 |
| 60.0 | 17 |
| 66.7 | 12 |
| 68.4 | 22 |
| 69.1 | 11 |

# 8
Starting from DFT lattice parameters and positions (PBE), the X-ray diffraction stick pattern of Cd2In7Ga2Hg was computed for a wavelength of 1.5418 Å.
Peak positions follow from Bragg's law for the DFT cell and can differ from measured ones.

a = 9.966 Å, b = 9.966 Å, c = 5.741 Å
α = 100.04°, β = 100.04°, γ = 33.03°
Atoms (fractional coordinates):
Cd: 0.248 0.248 0.313
Cd: 0.752 0.752 0.687
In: 0.000 0.000 0.500
In: 0.087 0.087 0.082
In: 0.323 0.323 0.884
In: 0.413 0.413 0.441
In: 0.587 0.587 0.559
In: 0.677 0.677 0.116
In: 0.913 0.913 0.918
Ga: 0.161 0.161 0.677
Ga: 0.839 0.839 0.323
Hg: 0.500 0.500 0.000

The 10 most intense peaks (2θ from 5° to 70°), by angle:
| 2θ (°) | I/Imax |
| --- | --- |
| 31.4 | 53 |
| 31.6 | 66 |
| 34.8 | 100 |
| 37.9 | 67 |
| 45.1 | 39 |
| 55.9 | 20 |
| 58.3 | 22 |
| 59.0 | 11 |
| 60.5 | 17 |
| 68.5 | 12 |

# 9
Starting from DFT lattice parameters and positions (PBE), the X-ray diffraction stick pattern of Mg5CdGa2Hg was computed for a wavelength of 1.5418 Å.
Peak positions follow from Bragg's law for the DFT cell and can differ from measured ones.

a = 9.645 Å, b = 9.645 Å, c = 9.645 Å
α = 138.03°, β = 138.03°, γ = 60.86°
Atoms (fractional coordinates):
Mg: 0.000 0.000 0.000
Mg: 0.070 0.570 0.898
Mg: 0.172 0.070 0.500
Mg: 0.328 0.828 0.898
Mg: 0.430 0.328 0.500
Mg: 0.500 0.500 0.000
Mg: 0.570 0.672 0.500
Mg: 0.672 0.172 0.102
Mg: 0.828 0.930 0.500
Mg: 0.930 0.430 0.102
Cd: 0.250 0.250 0.000
Cd: 0.750 0.750 0.000
Ga: 0.127 0.373 0.500
Ga: 0.373 0.873 0.246
Ga: 0.627 0.127 0.754
Ga: 0.873 0.627 0.500
Hg: 0.250 0.750 0.500
Hg: 0.750 0.250 0.500

The 10 most intense peaks (2θ from 5° to 70°), by angle:
| 2θ (°) | I/Imax |
| --- | --- |
| 10.6 | 41 |
| 21.4 | 65 |
| 25.8 | 36 |
| 28.0 | 77 |
| 33.2 | 27 |
| 33.7 | 100 |
| 36.8 | 37 |
| 38.4 | 34 |
| 41.8 | 29 |
| 54.2 | 28 |

# 10
Starting from DFT lattice parameters and positions (PBE), the X-ray diffraction stick pattern of Cd2GaHg2Pb was computed for a wavelength of 1.5418 Å.
Peak positions follow from Bragg's law for the DFT cell and can differ from measured ones.

a = 13.376 Å, b = 13.376 Å, c = 13.376 Å
α = 15.68°, β = 15.68°, γ = 15.68°
Atoms (fractional coordinates):
Cd: 0.229 0.229 0.229
Cd: 0.771 0.771 0.771
Ga: 0.000 0.000 0.000
Hg: 0.383 0.383 0.383
Hg: 0.617 0.617 0.617
Pb: 0.500 0.500 0.500

The 10 most intense peaks (2θ from 5° to 70°), by angle:
| 2θ (°) | I/Imax |
| --- | --- |
| 28.3 | 42 |
| 30.4 | 27 |
| 32.4 | 44 |
| 33.6 | 100 |
| 36.4 | 22 |
| 41.0 | 18 |
| 41.1 | 24 |
| 50.0 | 46 |
| 61.6 | 18 |
| 66.6 | 26 |

# 11
Starting from DFT lattice parameters and positions (PBE), the X-ray diffraction stick pattern of Cd7GaHg2Pb2 was computed for a wavelength of 1.5418 Å.
Peak positions follow from Bragg's law for the DFT cell and can differ from measured ones.

a = 4.371 Å, b = 4.371 Å, c = 15.961 Å
α = 96.93°, β = 96.93°, γ = 89.69°
Atoms (fractional coordinates):
Cd: 0.000 0.000 0.000
Cd: 0.078 0.580 0.143
Cd: 0.232 0.232 0.466
Cd: 0.420 0.922 0.857
Cd: 0.580 0.078 0.143
Cd: 0.768 0.768 0.534
Cd: 0.922 0.420 0.857
Ga: 0.500 0.500 0.000
Hg: 0.151 0.151 0.280
Hg: 0.849 0.849 0.720
Pb: 0.322 0.322 0.662
Pb: 0.678 0.678 0.338

The 10 most intense peaks (2θ from 5° to 70°), by angle:
| 2θ (°) | I/Imax |
| --- | --- |
| 28.8 | 27 |
| 29.5 | 46 |
| 33.1 | 27 |
| 33.2 | 39 |
| 33.7 | 66 |
| 34.0 | 28 |
| 37.1 | 30 |
| 37.3 | 32 |
| 37.9 | 29 |
| 41.3 | 100 |

# 12
Starting from DFT lattice parameters and positions (PBE), the X-ray diffraction stick pattern of Ho7CdGa5 was computed for a wavelength of 1.5418 Å.
Peak positions follow from Bragg's law for the DFT cell and can differ from measured ones.

a = 7.826 Å, b = 7.826 Å, c = 7.826 Å
α = 133.32°, β = 99.88°, γ = 98.18°
Atoms (fractional coordinates):
Ho: 0.000 0.000 0.000
Ho: 0.328 0.651 0.677
Ho: 0.363 0.363 0.000
Ho: 0.445 0.123 0.321
Ho: 0.802 0.123 0.679
Ho: 0.872 0.372 0.500
Ho: 0.974 0.651 0.323
Cd: 0.683 0.683 0.000
Ga: 0.135 0.135 0.488
Ga: 0.135 0.646 0.000
Ga: 0.385 0.885 0.500
Ga: 0.647 0.135 0.000
Ga: 0.647 0.646 0.512

The 10 most intense peaks (2θ from 5° to 70°), by angle:
| 2θ (°) | I/Imax |
| --- | --- |
| 24.8 | 22 |
| 28.8 | 47 |
| 29.9 | 34 |
| 30.3 | 55 |
| 33.8 | 22 |
| 34.9 | 22 |
| 35.1 | 100 |
| 38.3 | 84 |
| 39.9 | 21 |
| 63.0 | 23 |

# 13
Starting from DFT lattice parameters and positions (PBE), the X-ray diffraction stick pattern of Ho3Cd4Ga2 was computed for a wavelength of 1.5418 Å.
Peak positions follow from Bragg's law for the DFT cell and can differ from measured ones.

a = 5.924 Å, b = 5.924 Å, c = 8.975 Å
α = 114.91°, β = 114.91°, γ = 47.62°
Atoms (fractional coordinates):
Ho: 0.000 0.000 0.000
Ho: 0.334 0.334 0.332
Ho: 0.666 0.666 0.668
Cd: 0.072 0.072 0.402
Cd: 0.294 0.294 0.957
Cd: 0.706 0.706 0.043
Cd: 0.928 0.928 0.598
Ga: 0.394 0.394 0.727
Ga: 0.606 0.606 0.273

The 10 most intense peaks (2θ from 5° to 70°), by angle:
| 2θ (°) | I/Imax |
| --- | --- |
| 21.4 | 12 |
| 33.6 | 24 |
| 33.7 | 92 |
| 33.7 | 22 |
| 37.6 | 100 |
| 51.3 | 14 |
| 51.4 | 21 |
| 65.2 | 13 |
| 65.4 | 27 |
| 67.8 | 17 |